Diffraction record for SrCu3. The powder diffractogram is computed, not measured: it uses a crystal structure in Alexandria, relaxed with PBE and a wavelength of 1.5418 Å.

Main lines, by angle (2θ from 5° to 70°):
(hkl), 2θ/deg, I_rel
0 0 1, 13.31, 8
1 0 0, 26.32, 65
1 0 1, 29.60, 23
1 0 2, 37.92, 100
1 1 0, 46.45, 53
1 0 3, 49.11, 16
2 0 0, 54.17, 8
2 0 2, 61.45, 23
1 0 4, 62.18, 15
1 1 3, 63.43, 11

Crystal structure
```
data_SrCu3
_chemical_formula_sum 'Sr1 Cu3'
_cell_length_a 3.9103
_cell_length_b 3.9103
_cell_length_c 6.6526
_cell_angle_alpha 90.00
_cell_angle_beta 90.00
_cell_angle_gamma 120.00
_symmetry_space_group_name_H-M 'P -6 m 2'
_symmetry_Int_Tables_number 187
_symmetry_space_group_name_Hall 'P -6 2'
loop_
_atom_site_label
_atom_site_fract_x
_atom_site_fract_y
_atom_site_fract_z
Sr1 0.0000 0.0000 0.0000
Cu1 0.0000 0.0000 0.5000
Cu2 0.3333 0.6667 0.3227
```